(1)
Theoretical powder X-ray diffraction pattern of EuAl4 for Cu Kα, from a cell relaxed with GGA-PBE.
Neutral-atom scattering factors, no anomalous dispersion.

Atomic structure:
```
data_EuAl4
_chemical_formula_sum 'Eu2 Al8'
_space_group_name_H-M_alt 'P 1'
_space_group_IT_number 1
_space_group_name_Hall 'P 1'
_cell_length_a 4.369
_cell_length_b 4.369
_cell_length_c 11.302
_cell_angle_alpha 90.00
_cell_angle_beta 90.00
_cell_angle_gamma 90.00
loop_
_atom_site_label
_atom_site_type_symbol
_atom_site_fract_x
_atom_site_fract_y
_atom_site_fract_z
Eu1 Eu 0.000 0.000 0.000
Eu2 Eu 0.500 0.500 0.500
Al1 Al 0.000 0.000 0.386
Al2 Al 0.000 0.000 0.614
Al3 Al 0.000 0.500 0.250
Al4 Al 0.000 0.500 0.750
Al5 Al 0.500 0.000 0.250
Al6 Al 0.500 0.000 0.750
Al7 Al 0.500 0.500 0.114
Al8 Al 0.500 0.500 0.886
```

Largest 10 diffraction maxima, by angle, 10 to 90 degrees two-theta:
15.68°, I = 34, (0 0 2)
21.81°, I = 73, (1 0 1)
28.90°, I = 36, (1 1 0)
31.35°, I = 83, (1 0 3)
33.05°, I = 100, (1 1 2)
41.33°, I = 40, (2 0 0)
45.16°, I = 37, (1 0 5)
52.78°, I = 38, (2 1 3)
62.87°, I = 27, (2 1 5)
70.12°, I = 22, (3 1 2)


(2)
Theoretical powder X-ray diffraction pattern of ReN2 for Cu Kα, from a cell relaxed with GGA-PBE.
Neutral-atom scattering factors, no anomalous dispersion.

Atomic structure:
```
data_ReN2
_chemical_formula_sum 'Re4 N8'
_space_group_name_H-M_alt 'P 1'
_space_group_IT_number 1
_space_group_name_Hall 'P 1'
_cell_length_a 4.966
_cell_length_b 4.966
_cell_length_c 4.966
_cell_angle_alpha 90.00
_cell_angle_beta 90.00
_cell_angle_gamma 90.00
loop_
_atom_site_label
_atom_site_type_symbol
_atom_site_fract_x
_atom_site_fract_y
_atom_site_fract_z
Re1 Re 0.000 0.000 0.000
Re2 Re 0.000 0.500 0.500
Re3 Re 0.500 0.000 0.500
Re4 Re 0.500 0.500 0.000
N1 N 0.144 0.644 0.856
N2 N 0.144 0.856 0.356
N3 N 0.356 0.144 0.856
N4 N 0.356 0.356 0.356
N5 N 0.644 0.644 0.644
N6 N 0.644 0.856 0.144
N7 N 0.856 0.144 0.644
N8 N 0.856 0.356 0.144
```

Largest 9 diffraction maxima, by angle, 10 to 90 degrees two-theta:
31.20°, I = 100, (1 1 1)
36.18°, I = 51, (2 0 0)
40.63°, I = 1, (2 1 0)
52.10°, I = 40, (2 2 0)
61.98°, I = 50, (3 1 1)
65.07°, I = 13, (2 2 2)
76.78°, I = 5, (4 0 0)
85.18°, I = 18, (3 3 1)
87.95°, I = 19, (4 2 0)


(3)
Theoretical powder X-ray diffraction pattern of Ho7Cu5Sb for Cu Kα, from a cell relaxed with GGA-PBE.
Neutral-atom scattering factors, no anomalous dispersion.

Atomic structure:
```
data_Ho7Cu5Sb
_chemical_formula_sum 'Ho7 Cu5 Sb1'
_space_group_name_H-M_alt 'P 1'
_space_group_IT_number 1
_space_group_name_Hall 'P 1'
_cell_length_a 4.333
_cell_length_b 4.333
_cell_length_c 16.192
_cell_angle_alpha 90.00
_cell_angle_beta 90.00
_cell_angle_gamma 90.00
loop_
_atom_site_label
_atom_site_type_symbol
_atom_site_fract_x
_atom_site_fract_y
_atom_site_fract_z
Ho1 Ho 0.000 0.000 0.000
Ho2 Ho 0.000 0.000 0.199
Ho3 Ho 0.000 0.000 0.443
Ho4 Ho 0.000 0.000 0.652
Ho5 Ho 0.500 0.500 0.132
Ho6 Ho 0.500 0.500 0.604
Ho7 Ho 0.500 0.500 0.876
Cu1 Cu 0.000 0.000 0.834
Cu2 Cu 0.000 0.500 0.304
Cu3 Cu 0.000 0.500 0.755
Cu4 Cu 0.500 0.000 0.304
Cu5 Cu 0.500 0.000 0.755
Sb1 Sb 0.500 0.500 0.405
```

Largest 10 diffraction maxima, by angle, 10 to 90 degrees two-theta:
29.15°, I = 100, (1 1 0)
30.21°, I = 81, (1 0 4)
31.22°, I = 31, (1 1 2)
34.58°, I = 27, (1 0 5)
36.79°, I = 70, (1 1 4)
40.53°, I = 47, (1 1 5)
41.69°, I = 89, (2 0 0)
52.35°, I = 36, (2 1 4)
55.26°, I = 23, (1 0 9)
60.43°, I = 29, (2 2 0)


(4)
Theoretical powder X-ray diffraction pattern of BiBrO for Cu Kα, from a cell relaxed with GGA-PBE.
Neutral-atom scattering factors, no anomalous dispersion.

Atomic structure:
```
data_BiBrO
_chemical_formula_sum 'Bi2 Br2 O2'
_space_group_name_H-M_alt 'P 1'
_space_group_IT_number 1
_space_group_name_Hall 'P 1'
_cell_length_a 3.953
_cell_length_b 3.953
_cell_length_c 8.884
_cell_angle_alpha 90.00
_cell_angle_beta 90.00
_cell_angle_gamma 90.00
loop_
_atom_site_label
_atom_site_type_symbol
_atom_site_fract_x
_atom_site_fract_y
_atom_site_fract_z
Bi1 Bi 0.250 0.250 0.142
Bi2 Bi 0.750 0.750 0.858
Br1 Br 0.250 0.250 0.677
Br2 Br 0.750 0.750 0.323
O1 O 0.250 0.750 0.000
O2 O 0.750 0.250 0.000
```

Largest 10 diffraction maxima, by angle, 10 to 90 degrees two-theta:
24.65°, I = 17, (1 0 1)
30.26°, I = 100, (1 0 2)
32.02°, I = 44, (1 1 0)
38.00°, I = 18, (1 1 2)
45.92°, I = 20, (2 0 0)
46.93°, I = 11, (1 0 4)
52.64°, I = 15, (1 1 4)
55.98°, I = 37, (2 1 2)
75.21°, I = 9, (3 0 2)
76.15°, I = 8, (3 1 0)


- Which formula does entry 1 have?
  EuAl4